Simulated X-ray diffraction stick pattern of TcAg2O5 for copper Kα, from DFT lattice parameters and positions (PBE).
Neutral-atom scattering factors, no anomalous dispersion.

```
16
Lattice="1.895 -5.821 0.000 1.895 5.821 0.000 0.000 0.000 10.756" Properties=species:S:1:pos:R:3 pbc="T T T"
Tc 1.895 4.104 8.067
Tc 1.895 -4.104 2.689
Ag 1.895 4.198 0.728
Ag 1.895 4.198 4.650
Ag 1.895 -4.198 6.107
Ag 1.895 -4.198 10.028
O 1.895 5.376 6.722
O 1.895 5.376 9.412
O 1.895 2.743 6.666
O 1.895 2.743 9.468
O 1.895 1.802 2.689
O 1.895 -1.802 8.067
O 1.895 -2.743 1.288
O 1.895 -2.743 4.090
O 1.895 -5.376 1.344
O 1.895 -5.376 4.034
```

Peak list (8 most intense, 5° ≤ 2θ ≤ 70°, by angle)
d_spacing  2θ/deg  I/Imax
3.604  24.71  78
3.053  29.25  100
2.911  30.72  28
2.711  33.04  41
2.542  35.31  48
1.895  48.01  19
1.736  52.73  39
1.610  57.22  28

---

Simulated X-ray diffraction stick pattern of ZnTc2AgO8 for copper Kα, from DFT lattice parameters and positions (PBE).
Neutral-atom scattering factors, no anomalous dispersion.

```
12
Lattice="5.812 0.000 0.000 -2.906 5.034 0.000 0.000 0.000 6.482" Properties=species:S:1:pos:R:3 pbc="T T T"
Zn 0.000 0.000 0.000
Tc 0.000 3.356 1.794
Tc 2.906 1.678 4.689
Ag 0.000 0.000 3.241
O -0.015 1.652 1.287
O -1.468 4.220 1.287
O 1.423 0.839 5.195
O 0.000 3.356 3.525
O 2.906 1.678 2.957
O 1.483 4.195 1.287
O 4.374 0.813 5.195
O 2.921 3.381 5.195
```

Peak list (8 most intense, 5° ≤ 2θ ≤ 70°, by angle)
d_spacing  2θ/deg  I/Imax
5.034  17.62  17
3.976  22.36  100
2.906  30.77  89
2.725  32.87  63
1.987  45.65  56
1.825  49.96  22
1.678  54.71  17
1.641  56.06  32

---

Simulated X-ray diffraction stick pattern of Ag2TeO5 for copper Kα, from DFT lattice parameters and positions (PBE).
Neutral-atom scattering factors, no anomalous dispersion.

```
16
Lattice="5.939 -3.056 0.000 5.939 3.056 0.000 -3.882 0.000 6.300" Properties=species:S:1:pos:R:3 pbc="T T T"
Ag 3.998 2.740 3.150
Ag 4.273 0.470 6.116
Ag 6.214 -0.470 2.966
Ag 5.939 -2.740 0.000
Te 2.922 0.014 2.208
Te 0.981 -0.014 5.358
O 2.295 1.891 2.316
O -0.432 0.635 4.213
O 1.977 1.612 5.199
O 3.930 0.727 0.623
O 1.509 -0.635 1.063
O 4.398 0.722 3.380
O 1.989 -0.727 3.773
O 0.354 -1.891 5.466
O 6.339 -0.722 0.230
O 3.918 -1.612 2.049
```

Peak list (8 most intense, 5° ≤ 2θ ≤ 70°, by angle)
d_spacing  2θ/deg  I/Imax
3.676  24.21  35
3.150  28.33  35
3.095  28.85  49
3.056  29.22  38
2.952  30.28  100
2.927  30.55  29
2.823  31.70  23
2.750  32.57  21

---

Simulated X-ray diffraction stick pattern of Ag6TeO8 for copper Kα, from DFT lattice parameters and positions (PBE).
Neutral-atom scattering factors, no anomalous dispersion.

```
15
Lattice="4.533 2.617 3.100 -4.533 2.617 3.100 0.000 -5.234 3.100" Properties=species:S:1:pos:R:3 pbc="T T T"
Ag -2.426 -2.241 4.366
Ag -3.154 0.981 4.934
Ag 0.728 -3.222 4.934
Ag -0.728 3.222 4.366
Ag 3.154 -0.981 4.366
Ag 2.426 2.241 4.934
Te 0.000 0.000 4.650
O 0.000 0.000 0.679
O -0.066 -1.636 3.526
O -1.384 0.875 3.526
O -1.450 -0.761 5.774
O 1.450 0.761 3.526
O 1.384 -0.875 5.774
O 0.066 1.636 5.774
O 0.000 0.000 8.621
```

Peak list (8 most intense, 5° ≤ 2θ ≤ 70°, by angle)
d_spacing  2θ/deg  I/Imax
3.100  28.80  34
2.827  31.65  100
2.502  35.90  96
1.830  49.82  24
1.713  53.48  27
1.500  61.87  26
1.466  63.47  21
1.414  66.09  17

---

Simulated X-ray diffraction stick pattern of Tl2AgTeO6 for copper Kα, from DFT lattice parameters and positions (PBE).
Neutral-atom scattering factors, no anomalous dispersion.

```
10
Lattice="5.790 0.000 0.000 2.895 5.016 0.000 0.007 3.331 5.281" Properties=species:S:1:pos:R:3 pbc="T T T"
Tl 0.000 0.000 0.000
Tl 2.897 1.669 2.256
Ag 2.901 5.005 3.560
Te 5.790 3.343 0.281
O 0.709 1.823 1.340
O 2.038 2.963 4.314
O 4.121 3.491 1.343
O 5.100 5.274 4.315
O 6.753 4.715 1.342
O 7.358 6.773 4.312
```

Peak list (8 most intense, 5° ≤ 2θ ≤ 70°, by angle)
d_spacing  2θ/deg  I/Imax
4.237  20.97  32
3.108  28.72  97
2.895  30.88  100
2.679  33.45  17
2.120  42.65  24
1.949  46.59  15
1.710  53.59  31
1.672  54.92  27

---

Simulated X-ray diffraction stick pattern of TlAgTeO4 for copper Kα, from DFT lattice parameters and positions (PBE).
Neutral-atom scattering factors, no anomalous dispersion.

```
14
Lattice="6.696 0.000 0.000 0.000 6.353 0.000 -1.588 0.000 6.754" Properties=species:S:1:pos:R:3 pbc="T T T"
Tl 0.852 1.588 2.945
Tl 4.256 4.765 3.809
Ag 0.688 1.588 6.188
Ag 4.420 4.765 0.566
Te 1.169 4.765 0.863
Te 3.939 1.588 5.891
O -0.308 4.765 1.989
O -0.947 4.765 5.860
O 2.265 3.292 1.225
O 2.265 6.237 1.225
O 2.844 0.116 5.529
O 2.844 3.060 5.529
O 6.055 1.588 0.895
O 5.416 1.588 4.765
```

Peak list (8 most intense, 5° ≤ 2θ ≤ 70°, by angle)
d_spacing  2θ/deg  I/Imax
4.549  19.51  67
4.088  21.74  66
3.522  25.29  40
3.259  27.37  61
3.176  28.09  96
2.982  29.97  100
2.462  36.50  55
2.275  39.62  48